Diffraction record for Li8CoO5F. The powder XRD pattern is theoretical, not measured: it uses a DFT-relaxed cell (PBE+U, the Materials Project) and CuKα.
Lines closer than 0.1° are merged.

Crystal structure
a b c (Å): 5.429 6.016 17.941
angles (deg): 83.54 87.09 66.39
Space group P1 (No. 1)
Asymmetric unit:
Li (0.000, 0.000, 0.000) [1 per cell]
Li (0.033, 0.433, 0.415) [1 per cell]
Li (0.093, 0.276, 0.889) [1 per cell]
Li (0.116, 0.052, 0.356) [1 per cell]
Li (0.159, 0.830, 0.838) [1 per cell]
Li (0.196, 0.633, 0.295) [1 per cell]
Li (0.200, 0.499, 0.780) [1 per cell]
Li (0.243, 0.897, 0.196) [1 per cell]
Li (0.249, 0.250, 0.250) [1 per cell]
Li (0.286, 0.681, 0.665) [1 per cell]
Li (0.340, 0.526, 0.138) [1 per cell]
Li (0.368, 0.300, 0.606) [1 per cell]
Li (0.413, 0.084, 0.088) [1 per cell]
Li (0.444, 0.880, 0.542) [1 per cell]
Li (0.450, 0.740, 0.031) [1 per cell]
Li (0.489, 0.155, 0.444) [1 per cell]
Li (0.498, 0.498, 0.499) [1 per cell]
Li (0.537, 0.930, 0.914) [1 per cell]
Li (0.590, 0.774, 0.389) [1 per cell]
Li (0.614, 0.548, 0.854) [1 per cell]
Li (0.663, 0.336, 0.338) [1 per cell]
Li (0.695, 0.129, 0.792) [1 per cell]
Li (0.698, 0.991, 0.282) [1 per cell]
Li (0.741, 0.405, 0.695) [1 per cell]
Li (0.749, 0.747, 0.749) [1 per cell]
Li (0.785, 0.182, 0.164) [1 per cell]
Li (0.842, 0.024, 0.640) [1 per cell]
Li (0.863, 0.800, 0.105) [1 per cell]
Li (0.910, 0.581, 0.588) [1 per cell]
Li (0.947, 0.382, 0.045) [1 per cell]
Li (0.949, 0.250, 0.530) [1 per cell]
Li (0.994, 0.647, 0.946) [1 per cell]
Co (0.210, 0.124, 0.731) [1 per cell]
Co (0.472, 0.365, 0.978) [1 per cell]
Co (0.720, 0.617, 0.228) [1 per cell]
Co (0.959, 0.876, 0.481) [1 per cell]
O (0.026, 0.860, 0.740) [1 per cell]
O (0.055, 0.232, 0.634) [1 per cell]
O (0.152, 0.635, 0.038) [1 per cell]
O (0.195, 0.073, 0.457) [1 per cell]
O (0.196, 0.681, 0.561) [1 per cell]
O (0.287, 0.120, 0.988) [1 per cell]
O (0.301, 0.485, 0.883) [1 per cell]
O (0.401, 0.886, 0.289) [1 per cell]
O (0.446, 0.930, 0.811) [1 per cell]
O (0.448, 0.320, 0.706) [1 per cell]
O (0.535, 0.372, 0.238) [1 per cell]
O (0.550, 0.736, 0.133) [1 per cell]
O (0.662, 0.127, 0.538) [1 per cell]
O (0.693, 0.555, 0.956) [1 per cell]
O (0.696, 0.186, 0.061) [1 per cell]
O (0.775, 0.612, 0.490) [1 per cell]
O (0.804, 0.983, 0.384) [1 per cell]
O (0.913, 0.376, 0.787) [1 per cell]
O (0.940, 0.808, 0.207) [1 per cell]
O (0.946, 0.437, 0.311) [1 per cell]
F (0.118, 0.234, 0.153) [1 per cell]
F (0.367, 0.488, 0.402) [1 per cell]
F (0.618, 0.738, 0.653) [1 per cell]
F (0.868, 0.985, 0.904) [1 per cell]

Most intense lines, 2θ = 10–90°, by angle:
2θ 17.39, I = 79, (0 1 -1); 2θ 18.55, I = 70, (1 0 -1); 2θ 19.92, I = 72, (0 0 4); 2θ 20.91, I = 72, (0 1 3); 2θ 34.20, I = 100, (-1 1 4); 2θ 37.96, I = 65, (2 2 0)